Calculated powder XRD pattern of Pr4Nd5Sn2 for Cu Kα, from a cell relaxed with GGA-PBE.

Structure:
```
data_Pr4Nd5Sn2
_symmetry_space_group_name_H-M 'P 1'
_symmetry_Int_Tables_number 1
_symmetry_space_group_name_Hall 'P 1'
_cell_length_a 16.2605
_cell_length_b 16.2605
_cell_length_c 16.2605
_cell_angle_alpha 19.01
_cell_angle_beta 19.01
_cell_angle_gamma 19.01
loop_
_atom_site_label
_atom_site_fract_x
_atom_site_fract_y
_atom_site_fract_z
Pr1 0.0727 0.0727 0.0727
Pr2 0.2260 0.2260 0.2260
Pr3 0.7740 0.7740 0.7740
Pr4 0.9273 0.9273 0.9273
Nd1 0.0000 0.0000 0.0000
Nd2 0.1481 0.1481 0.1481
Nd3 0.3042 0.3042 0.3042
Nd4 0.6958 0.6958 0.6958
Nd5 0.8519 0.8519 0.8519
Sn1 0.3782 0.3782 0.3782
Sn2 0.6218 0.6218 0.6218
```

Largest 12 diffraction maxima, by angle, 2θ = 15–90°:
2theta	I/Imax
19.2	19
19.4	10
31.0	100
32.5	25
33.4	96
46.2	33
53.5	13
58.1	34
59.6	18
62.8	16
70.1	11
78.6	16